Simulated powder X-ray diffraction pattern of HoAlGa for Cu Kα, from a DFT-relaxed cell (PBE, the Materials Project).
Neutral-atom scattering factors, no anomalous dispersion.

Structure:
Cell: 4.4468 4.4468 3.5499 Å, 90.00 90.00 120.00°
Atoms (fractional coordinates):
Ho 0.0000 0.0000 0.0000
Al 0.3333 0.6667 0.5000
Ga 0.6667 0.3333 0.5000

Principal peaks in the range 2θ = 10–90°, sorted by position:
- 23.1 deg, I 41, hkl 1 0 0
- 34.4 deg, I 100, hkl 1 0 1
- 40.6 deg, I 47, hkl 1 1 0
- 51.5 deg, I 8, hkl 0 0 2
- 54.2 deg, I 27, hkl 2 0 1
- 57.1 deg, I 7, hkl 1 0 2
- 67.5 deg, I 20, hkl 1 1 2
- 69.8 deg, I 25, hkl 2 1 1
- 73.8 deg, I 8, hkl 3 0 0
- 85.9 deg, I 7, hkl 1 0 3